Diffraction record for Rb2LiPuCl4O2. The X-ray powder pattern is simulated, not measured: it uses a cell relaxed with PBE and a wavelength of 1.5418 Å.

Largest 6 diffraction maxima, most intense first, 2θ = 15–90°:
2θ 20.6, I 100.0, (1 1 -1); 2θ 22.1, I 82.2, (3 1 0); 2θ 34.2, I 64.4, (4 2 0); 2θ 31.6, I 58.7, (3 1 1); 2θ 17.8, I 54.2, (0 0 1); 2θ 33.5, I 42.7, (2 2 1)

```
data_Rb2LiPuCl4O2
_chemical_formula_sum 'Rb4 Li2 Pu2 Cl8 O4'
_cell_length_a 14.5385
_cell_length_b 7.8934
_cell_length_c 5.1658
_cell_angle_alpha 90.00
_cell_angle_beta 105.29
_cell_angle_gamma 90.00
_symmetry_space_group_name_H-M 'C 1 2/m 1'
_symmetry_Int_Tables_number 12
_symmetry_space_group_name_Hall '-C 2y'
loop_
_atom_site_label
_atom_site_type_symbol
_atom_site_fract_x
_atom_site_fract_y
_atom_site_fract_z
Rb1 Rb 0.2172 0.0000 0.2999
Li1 Li 0.0000 0.0000 0.5000
Pu1 Pu 0.0000 0.5000 0.5000
Cl1 Cl 0.1108 0.2173 0.7453
O1 O 0.0839 0.5000 0.2964
```

=====

Diffraction record for Dy3Al12Os4. The X-ray powder pattern is simulated, not measured: it uses a cell relaxed with PBE and a wavelength of 1.5418 Å.

Largest 6 diffraction maxima, most intense first, 2θ = 15–90°:
2θ 29.9, I 100.0, (2 0 2); 2θ 41.0, I 54.1, (2 2 0); 2θ 36.6, I 36.4, (2 0 3); 2θ 23.3, I 31.8, (2 0 0); 2θ 56.7, I 29.4, (2 2 4); 2θ 37.4, I 24.2, (0 0 4)

```
data_Dy3Al12Os4
_chemical_formula_sum 'Dy6 Al24 Os8'
_cell_length_a 8.8033
_cell_length_b 8.8033
_cell_length_c 9.6097
_cell_angle_alpha 90.00
_cell_angle_beta 90.00
_cell_angle_gamma 120.00
_symmetry_space_group_name_H-M 'P 63/m m c'
_symmetry_Int_Tables_number 194
_symmetry_space_group_name_Hall '-P 6c 2c'
loop_
_atom_site_label
_atom_site_type_symbol
_atom_site_fract_x
_atom_site_fract_y
_atom_site_fract_z
Dy1 Dy 0.1937 0.3874 0.2500
Al1 Al 0.0000 0.0000 0.2500
Al2 Al 0.1237 0.5618 0.7500
Al3 Al 0.1636 0.3272 0.5754
Al4 Al 0.3333 0.6667 0.0189
Os1 Os 0.0000 0.0000 0.0000
Os2 Os 0.0000 0.5000 0.0000
```

=====

Diffraction record for HfNiAgPt. The X-ray powder pattern is simulated, not measured: it uses a cell relaxed with PBE and a wavelength of 1.5418 Å.

Largest 6 diffraction maxima, most intense first, 2θ = 15–90°:
2θ 39.9, I 100.0, (2 2 0); 2θ 72.5, I 33.9, (4 2 2); 2θ 57.7, I 16.8, (4 0 0); 2θ 24.1, I 16.1, (1 1 1); 2θ 86.1, I 11.0, (4 4 0); 2θ 47.2, I 8.7, (3 1 1)

```
data_HfNiAgPt
_chemical_formula_sum 'Hf4 Ni4 Ag4 Pt4'
_cell_length_a 6.3890
_cell_length_b 6.3890
_cell_length_c 6.3890
_cell_angle_alpha 90.00
_cell_angle_beta 90.00
_cell_angle_gamma 90.00
_symmetry_space_group_name_H-M 'F -4 3 m'
_symmetry_Int_Tables_number 216
_symmetry_space_group_name_Hall 'F -4 2 3'
loop_
_atom_site_label
_atom_site_type_symbol
_atom_site_fract_x
_atom_site_fract_y
_atom_site_fract_z
Hf1 Hf 0.0000 0.0000 0.0000
Ni1 Ni 0.2500 0.2500 0.2500
Ag1 Ag 0.0000 0.0000 0.5000
Pt1 Pt 0.2500 0.2500 0.7500
```

=====

Diffraction record for PaTlCdHg. The X-ray powder pattern is simulated, not measured: it uses a cell relaxed with PBE and a wavelength of 1.5418 Å.

Largest 6 diffraction maxima, most intense first, 2θ = 15–90°:
2θ 34.6, I 100.0, (2 2 0); 2θ 62.0, I 37.7, (4 2 2); 2θ 49.7, I 18.2, (4 0 0); 2θ 83.3, I 16.8, (6 2 0); 2θ 72.9, I 11.7, (4 4 0); 2θ 21.0, I 4.9, (1 1 1)

```
data_PaTlCdHg
_chemical_formula_sum 'Pa4 Tl4 Cd4 Hg4'
_cell_length_a 7.3365
_cell_length_b 7.3365
_cell_length_c 7.3365
_cell_angle_alpha 90.00
_cell_angle_beta 90.00
_cell_angle_gamma 90.00
_symmetry_space_group_name_H-M 'F -4 3 m'
_symmetry_Int_Tables_number 216
_symmetry_space_group_name_Hall 'F -4 2 3'
loop_
_atom_site_label
_atom_site_type_symbol
_atom_site_fract_x
_atom_site_fract_y
_atom_site_fract_z
Pa1 Pa 0.0000 0.0000 0.0000
Tl1 Tl 0.2500 0.2500 0.2500
Cd1 Cd 0.0000 0.0000 0.5000
Hg1 Hg 0.2500 0.2500 0.7500
```

=====

Diffraction record for SmTcW. The X-ray powder pattern is simulated, not measured: it uses a cell relaxed with PBE and a wavelength of 1.5418 Å.

Largest 6 diffraction maxima, most intense first, 2θ = 15–90°:
2θ 44.1, I 100.0, (2 2 4); 2θ 41.1, I 76.6, (0 4 4); 2θ 33.8, I 62.7, (0 0 8); 2θ 20.4, I 56.4, (1 1 1); 2θ 35.5, I 55.2, (1 3 3); 2θ 35.9, I 54.3, (1 1 7)

```
data_SmTcW
_chemical_formula_sum 'Sm16 Tc16 W16'
_cell_length_a 5.0233
_cell_length_b 9.6478
_cell_length_c 21.1960
_cell_angle_alpha 90.00
_cell_angle_beta 90.00
_cell_angle_gamma 90.00
_symmetry_space_group_name_H-M 'F d d d'
_symmetry_Int_Tables_number 70
loop_
_symmetry_equiv_pos_as_xyz
'x,y,z'
'-x,-y,-z'
'-x+1/4,-y+1/4,z'
'x+1/4,y+1/4,-z'
'x,-y+1/4,-z+1/4'
'-x,y+1/4,z+1/4'
'-x+1/4,y,-z+1/4'
'x+1/4,-y,z+1/4'
'x,y+1/2,z+1/2'
'-x,-y+1/2,-z+1/2'
'-x+1/4,-y+3/4,z+1/2'
'x+1/4,y+3/4,-z+1/2'
'x,-y+3/4,-z+3/4'
'-x,y+3/4,z+3/4'
'-x+1/4,y+1/2,-z+3/4'
'x+1/4,-y+1/2,z+3/4'
'x+1/2,y,z+1/2'
'-x+1/2,-y,-z+1/2'
'-x+3/4,-y+1/4,z+1/2'
'x+3/4,y+1/4,-z+1/2'
'x+1/2,-y+1/4,-z+3/4'
'-x+1/2,y+1/4,z+3/4'
'-x+3/4,y,-z+3/4'
'x+3/4,-y,z+3/4'
'x+1/2,y+1/2,z'
'-x+1/2,-y+1/2,-z'
'-x+3/4,-y+3/4,z'
'x+3/4,y+3/4,-z'
'x+1/2,-y+3/4,-z+1/4'
'-x+1/2,y+3/4,z+1/4'
'-x+3/4,y+1/2,-z+1/4'
'x+3/4,-y+1/2,z+1/4'
loop_
_atom_site_label
_atom_site_type_symbol
_atom_site_fract_x
_atom_site_fract_y
_atom_site_fract_z
Sm1 Sm 0.1250 0.2834 0.1250
Tc1 Tc 0.1250 0.1250 0.5270
W1 W 0.1250 0.1250 0.9998
```

=====

Diffraction record for TbSc4Tl2. The X-ray powder pattern is simulated, not measured: it uses a cell relaxed with PBE and a wavelength of 1.5418 Å.

Largest 6 diffraction maxima, most intense first, 2θ = 15–90°:
2θ 28.8, I 100.0, (1 1 3); 2θ 33.8, I 68.5, (2 2 0); 2θ 38.8, I 45.7, (1 3 3); 2θ 36.2, I 43.8, (0 4 0); 2θ 17.9, I 39.8, (0 2 0); 2θ 50.6, I 27.2, (3 1 3)

```
data_TbSc4Tl2
_chemical_formula_sum 'Tb4 Sc16 Tl8'
_cell_length_a 6.2867
_cell_length_b 9.9168
_cell_length_c 11.4442
_cell_angle_alpha 90.00
_cell_angle_beta 90.00
_cell_angle_gamma 90.00
_symmetry_space_group_name_H-M 'F m m m'
_symmetry_Int_Tables_number 69
_symmetry_space_group_name_Hall '-F 2 2'
loop_
_atom_site_label
_atom_site_type_symbol
_atom_site_fract_x
_atom_site_fract_y
_atom_site_fract_z
Tb1 Tb 0.0000 0.0000 0.0000
Sc1 Sc 0.2500 0.2500 0.0000
Sc2 Sc 0.2500 0.2500 0.2500
Tl1 Tl 0.0000 0.0000 0.3585
```

=====

Diffraction record for Rb2SrH6Os. The X-ray powder pattern is simulated, not measured: it uses a cell relaxed with PBE and a wavelength of 1.5418 Å.

Largest 6 diffraction maxima, most intense first, 2θ = 15–90°:
2θ 28.4, I 100.0, (1 1 0); 2θ 16.3, I 69.3, (1 0 0); 2θ 34.3, I 56.5, (0 1 2); 2θ 32.2, I 36.4, (1 1 1); 2θ 54.1, I 30.9, (1 2 2); 2θ 41.7, I 29.9, (1 1 2)

```
data_Rb2SrH6Os
_chemical_formula_sum 'Rb2 Sr1 H6 Os1'
_cell_length_a 6.2885
_cell_length_b 6.2885
_cell_length_c 5.9647
_cell_angle_alpha 90.00
_cell_angle_beta 90.00
_cell_angle_gamma 120.00
_symmetry_space_group_name_H-M 'P -3 m 1'
_symmetry_Int_Tables_number 164
_symmetry_space_group_name_Hall '-P 3 2"'
loop_
_atom_site_label
_atom_site_type_symbol
_atom_site_fract_x
_atom_site_fract_y
_atom_site_fract_z
Rb1 Rb 0.3333 0.6667 0.1182
Sr1 Sr 0.0000 0.0000 0.5000
H1 H 0.1331 0.2663 0.8344
Os1 Os 0.0000 0.0000 0.0000
```

=====

Diffraction record for Y4TmTh3. The X-ray powder pattern is simulated, not measured: it uses a cell relaxed with PBE and a wavelength of 1.5418 Å.

Largest 6 diffraction maxima, most intense first, 2θ = 15–90°:
2θ 30.7, I 100.0, (1 2 2); 2θ 35.5, I 33.8, (0 4 0); 2θ 60.8, I 28.5, (1 6 2); 2θ 51.2, I 24.0, (2 0 4); 2θ 35.6, I 16.8, (2 0 0); 2θ 60.9, I 14.3, (3 2 2)

```
data_Y4TmTh3
_chemical_formula_sum 'Y8 Tm2 Th6'
_cell_length_a 5.0388
_cell_length_b 10.0995
_cell_length_c 10.1153
_cell_angle_alpha 90.00
_cell_angle_beta 90.00
_cell_angle_gamma 90.00
_symmetry_space_group_name_H-M 'P m m n'
_symmetry_Int_Tables_number 59
loop_
_symmetry_equiv_pos_as_xyz
'x,y,z'
'-x,-y,-z'
'-x+1/2,-y+1/2,z'
'x+1/2,y+1/2,-z'
'x+1/2,-y,-z'
'-x+1/2,y,z'
'-x,y+1/2,-z'
'x,-y+1/2,z'
loop_
_atom_site_label
_atom_site_type_symbol
_atom_site_fract_x
_atom_site_fract_y
_atom_site_fract_z
Y1 Y 0.2500 0.0006 0.1292
Y2 Y 0.2500 0.2500 0.8716
Y3 Y 0.2500 0.7500 0.8686
Tm1 Tm 0.2500 0.7500 0.3778
Th1 Th 0.2500 0.2500 0.3778
Th2 Th 0.2500 0.5024 0.6212
```

=====

Diffraction record for Ga4W. The X-ray powder pattern is simulated, not measured: it uses a cell relaxed with PBE and a wavelength of 1.5418 Å.

Largest 6 diffraction maxima, most intense first, 2θ = 15–90°:
2θ 43.4, I 100.0, (2 2 0); 2θ 21.3, I 91.9, (1 1 0); 2θ 37.3, I 44.4, (2 1 1); 2θ 79.6, I 32.7, (4 2 2); 2θ 58.5, I 24.4, (3 2 1); 2θ 48.8, I 20.9, (3 1 0)

```
data_Ga4W
_chemical_formula_sum 'Ga8 W2'
_cell_length_a 5.9005
_cell_length_b 5.9005
_cell_length_c 5.9005
_cell_angle_alpha 90.00
_cell_angle_beta 90.00
_cell_angle_gamma 90.00
_symmetry_space_group_name_H-M 'I m -3 m'
_symmetry_Int_Tables_number 229
_symmetry_space_group_name_Hall '-I 4 2 3'
loop_
_atom_site_label
_atom_site_type_symbol
_atom_site_fract_x
_atom_site_fract_y
_atom_site_fract_z
Ga1 Ga 0.2500 0.2500 0.2500
W1 W 0.0000 0.0000 0.0000
```

=====

Diffraction record for K3Cr2Cl7. The X-ray powder pattern is simulated, not measured: it uses a cell relaxed with PBE and a wavelength of 1.5418 Å.

Largest 6 diffraction maxima, most intense first, 2θ = 15–90°:
2θ 36.0, I 100.0, (2 0 0); 2θ 33.1, I 52.7, (1 1 6); 2θ 51.3, I 48.4, (2 0 10); 2θ 25.2, I 44.2, (1 1 0); 2θ 35.3, I 40.6, (0 0 10); 2θ 51.8, I 30.6, (2 2 0)

```
data_K3Cr2Cl7
_chemical_formula_sum 'K6 Cr4 Cl14'
_cell_length_a 4.9893
_cell_length_b 4.9893
_cell_length_c 25.3915
_cell_angle_alpha 90.00
_cell_angle_beta 90.00
_cell_angle_gamma 90.00
_symmetry_space_group_name_H-M 'I 4/m m m'
_symmetry_Int_Tables_number 139
_symmetry_space_group_name_Hall '-I 4 2'
loop_
_atom_site_label
_atom_site_type_symbol
_atom_site_fract_x
_atom_site_fract_y
_atom_site_fract_z
K1 K 0.0000 0.0000 0.0000
K2 K 0.0000 0.0000 0.1812
Cr1 Cr 0.0000 0.0000 0.4019
Cl1 Cl 0.0000 0.0000 0.3052
Cl2 Cl 0.0000 0.0000 0.5000
Cl3 Cl 0.0000 0.5000 0.0959
```

=====

Diffraction record for NiGePd4. The X-ray powder pattern is simulated, not measured: it uses a cell relaxed with PBE and a wavelength of 1.5418 Å.

Largest 6 diffraction maxima, most intense first, 2θ = 15–90°:
2θ 39.7, I 100.0, (1 1 2); 2θ 37.9, I 52.9, (2 1 1); 2θ 43.3, I 42.0, (2 2 0); 2θ 30.2, I 30.0, (2 0 0); 2θ 60.2, I 28.9, (3 1 2); 2θ 33.9, I 22.4, (2 1 0)

```
data_NiGePd4
_chemical_formula_sum 'Ni2 Ge2 Pd8'
_cell_length_a 5.9163
_cell_length_b 5.9163
_cell_length_c 5.3969
_cell_angle_alpha 90.00
_cell_angle_beta 90.00
_cell_angle_gamma 90.00
_symmetry_space_group_name_H-M 'P -4 2 c'
_symmetry_Int_Tables_number 112
_symmetry_space_group_name_Hall 'P -4 2c'
loop_
_atom_site_label
_atom_site_type_symbol
_atom_site_fract_x
_atom_site_fract_y
_atom_site_fract_z
Ni1 Ni 0.0000 0.0000 0.0000
Ge1 Ge 0.0000 0.5000 0.2500
Pd1 Pd 0.2454 0.3196 0.8957
```

=====

Diffraction record for PaGe2Mo2. The X-ray powder pattern is simulated, not measured: it uses a cell relaxed with PBE and a wavelength of 1.5418 Å.

Largest 6 diffraction maxima, most intense first, 2θ = 15–90°:
2θ 39.6, I 100.0, (0 0 2); 2θ 25.9, I 71.1, (0 2 1); 2θ 41.9, I 68.3, (3 3 -1); 2θ 34.0, I 62.6, (0 4 0); 2θ 36.6, I 37.4, (3 1 -2); 2θ 31.3, I 31.5, (2 0 -2)

```
data_PaGe2Mo2
_chemical_formula_sum 'Pa4 Ge8 Mo8'
_cell_length_a 8.2884
_cell_length_b 10.5367
_cell_length_c 5.7489
_cell_angle_alpha 90.00
_cell_angle_beta 127.60
_cell_angle_gamma 90.00
_symmetry_space_group_name_H-M 'C 1 2/c 1'
_symmetry_Int_Tables_number 15
_symmetry_space_group_name_Hall '-C 2yc'
loop_
_atom_site_label
_atom_site_type_symbol
_atom_site_fract_x
_atom_site_fract_y
_atom_site_fract_z
Pa1 Pa 0.0000 0.1046 0.2500
Ge1 Ge 0.0000 0.1943 0.7500
Ge2 Ge 0.0000 0.3857 0.2500
Mo1 Mo 0.1855 0.4054 0.7895
```

=====

Diffraction record for Zr4CrSb. The X-ray powder pattern is simulated, not measured: it uses a cell relaxed with PBE and a wavelength of 1.5418 Å.

Largest 6 diffraction maxima, most intense first, 2θ = 15–90°:
2θ 36.6, I 100.0, (3 1 1); 2θ 38.3, I 42.8, (2 2 2); 2θ 58.9, I 32.1, (5 1 1); 2θ 64.7, I 27.1, (4 4 0); 2θ 31.1, I 24.5, (2 2 0); 2θ 77.8, I 15.2, (6 2 2)

```
data_Zr4CrSb
_chemical_formula_sum 'Zr16 Cr4 Sb4'
_cell_length_a 8.1459
_cell_length_b 8.1459
_cell_length_c 8.1459
_cell_angle_alpha 90.00
_cell_angle_beta 90.00
_cell_angle_gamma 90.00
_symmetry_space_group_name_H-M 'F -4 3 m'
_symmetry_Int_Tables_number 216
_symmetry_space_group_name_Hall 'F -4 2 3'
loop_
_atom_site_label
_atom_site_type_symbol
_atom_site_fract_x
_atom_site_fract_y
_atom_site_fract_z
Zr1 Zr 0.1239 0.1239 0.1239
Cr1 Cr 0.2500 0.2500 0.7500
Sb1 Sb 0.0000 0.0000 0.5000
```